Simulated X-ray diffraction stick pattern
Compound: CsCuBr3
Radiation: Cu Kα, 1.54184 Å
Structure: a GGA-PBE-relaxed structure
Intensities are scaled so that the largest is 100.

Cell and atoms:
```
CsCuBr3
1.0
3.8667 -6.4457 0.0000
3.8667 6.4457 0.0000
0.0000 0.0000 12.8972
Cs Cu Br
4 4 12
direct
0.1827 0.8173 0.7500 Cs
0.4793 0.4793 0.5000 Cs
0.5207 0.5207 0.0000 Cs
0.8173 0.1827 0.2500 Cs
0.1410 0.8376 0.3780 Cu
0.1624 0.8590 0.1220 Cu
0.8376 0.1410 0.6220 Cu
0.8590 0.1624 0.8780 Cu
0.0080 0.0080 0.0000 Br
0.0336 0.5673 0.0148 Br
0.1721 0.3112 0.7837 Br
0.2998 0.7002 0.2500 Br
0.3112 0.1721 0.2163 Br
0.4327 0.9664 0.4852 Br
0.5673 0.0336 0.9852 Br
0.6888 0.8279 0.7163 Br
0.7002 0.2998 0.7500 Br
0.8279 0.6888 0.2837 Br
0.9664 0.4327 0.5148 Br
0.9920 0.9920 0.5000 Br
```

Main lines, in order of rising 2θ (2θ from 10° to 80°):
d_spacing	I/Imax
3.756	17
3.607	17
3.224	33
3.211	19
2.949	100
2.883	20
2.626	28
2.579	18
1.878	20
1.804	22

Simulated X-ray diffraction stick pattern
Compound: Hf2ZrCu4As4
Radiation: Cu Kα, 1.54184 Å
Structure: a GGA-PBE-relaxed structure
Intensities are scaled so that the largest is 100.

Cell and atoms:
```
Hf2ZrCu4As4
1.0
6.4591 0.0000 0.0000
0.0000 3.8181 0.0000
-0.2929 0.0000 7.6183
Hf Zr Cu As
2 1 4 4
direct
0.0000 0.0000 0.0000 Hf
0.4937 0.0000 0.8634 Hf
0.4376 0.5000 0.5138 Zr
0.1140 0.0000 0.6089 Cu
0.3333 0.5000 0.1310 Cu
0.5918 0.0000 0.2494 Cu
0.8022 0.5000 0.7485 Cu
0.1938 0.5000 0.8081 As
0.2037 0.0000 0.3029 As
0.7135 0.5000 0.0754 As
0.7408 0.0000 0.5543 As
```

Main lines, in order of rising 2θ (2θ from 10° to 80°):
d_spacing	I/Imax
7.618	87
3.817	28
2.512	73
2.465	100
2.365	86
2.333	27
2.325	65
2.114	54
1.909	58
1.905	25

Simulated X-ray diffraction stick pattern
Compound: LiDy2AuSe2O2
Radiation: Cu Kα, 1.54184 Å
Structure: a GGA-PBE-relaxed structure
Intensities are scaled so that the largest is 100.

Cell and atoms:
```
LiDy2AuSe2O2
1.0
3.9305 0.0000 0.0000
0.0000 3.9305 0.0000
0.0000 0.0000 9.0498
Li Dy Au Se O
1 2 1 2 2
direct
0.0000 0.0000 0.0000 Li
0.0000 0.5000 0.3777 Dy
0.5000 0.0000 0.6223 Dy
0.5000 0.5000 0.0000 Au
0.0000 0.5000 0.8001 Se
0.5000 0.0000 0.1999 Se
0.0000 0.0000 0.5000 O
0.5000 0.5000 0.5000 O
```

Main lines, in order of rising 2θ (2θ from 10° to 80°):
d_spacing	I/Imax
3.931	18
3.605	33
2.967	100
2.657	44
2.393	39
2.368	32
1.965	38
1.755	27
1.638	35
1.518	22

Simulated X-ray diffraction stick pattern
Compound: Li2ReGeO6
Radiation: Cu Kα, 1.54184 Å
Structure: a GGA-PBE-relaxed structure
Intensities are scaled so that the largest is 100.

Cell and atoms:
```
Li2ReGeO6
1.0
2.5206 1.4553 4.6239
-2.5206 1.4553 4.6239
0.0000 -2.9106 4.6239
Li Re Ge O
2 1 1 6
direct
0.0000 0.0000 0.0000 Li
0.2785 0.2785 0.2785 Li
0.4842 0.4842 0.4842 Re
0.7904 0.7904 0.7904 Ge
0.0743 0.4237 0.6884 O
0.2028 0.8524 0.5934 O
0.4237 0.6884 0.0743 O
0.5934 0.2028 0.8524 O
0.6884 0.0743 0.4237 O
0.8524 0.5934 0.2028 O
```

Main lines, in order of rising 2θ (2θ from 10° to 80°):
d_spacing	I/Imax
4.624	92
4.164	100
3.695	51
2.715	49
2.521	44
2.213	78
1.847	19
1.704	42
1.490	18
1.455	18

Simulated X-ray diffraction stick pattern
Compound: InSi5Os3
Radiation: Cu Kα, 1.54184 Å
Structure: a GGA-PBE-relaxed structure
Intensities are scaled so that the largest is 100.

Cell and atoms:
```
InSi5Os3
1.0
5.4735 0.0000 0.0000
-2.7368 4.7402 0.0000
0.0000 0.0000 6.0257
In Si Os
1 5 3
direct
0.0000 0.0000 0.0000 In
0.0000 0.0000 0.5000 Si
0.3333 0.6667 0.1935 Si
0.3333 0.6667 0.8065 Si
0.6667 0.3333 0.1935 Si
0.6667 0.3333 0.8065 Si
0.0000 0.5000 0.5000 Os
0.5000 0.0000 0.5000 Os
0.5000 0.5000 0.5000 Os
```

Main lines, in order of rising 2θ (2θ from 10° to 80°):
d_spacing	I/Imax
6.026	100
3.726	69
3.013	40
2.492	37
2.370	69
2.206	64
1.863	89
1.368	19
1.271	22
1.246	16

Please write out number 1 again, unchanged.
Simulated X-ray diffraction stick pattern
Compound: CsCuBr3
Radiation: Cu Kα, 1.54184 Å
Structure: a GGA-PBE-relaxed structure
Intensities are scaled so that the largest is 100.

Cell and atoms:
```
CsCuBr3
1.0
3.8667 -6.4457 0.0000
3.8667 6.4457 0.0000
0.0000 0.0000 12.8972
Cs Cu Br
4 4 12
direct
0.1827 0.8173 0.7500 Cs
0.4793 0.4793 0.5000 Cs
0.5207 0.5207 0.0000 Cs
0.8173 0.1827 0.2500 Cs
0.1410 0.8376 0.3780 Cu
0.1624 0.8590 0.1220 Cu
0.8376 0.1410 0.6220 Cu
0.8590 0.1624 0.8780 Cu
0.0080 0.0080 0.0000 Br
0.0336 0.5673 0.0148 Br
0.1721 0.3112 0.7837 Br
0.2998 0.7002 0.2500 Br
0.3112 0.1721 0.2163 Br
0.4327 0.9664 0.4852 Br
0.5673 0.0336 0.9852 Br
0.6888 0.8279 0.7163 Br
0.7002 0.2998 0.7500 Br
0.8279 0.6888 0.2837 Br
0.9664 0.4327 0.5148 Br
0.9920 0.9920 0.5000 Br
```

Main lines, in order of rising 2θ (2θ from 10° to 80°):
d_spacing	I/Imax
3.756	17
3.607	17
3.224	33
3.211	19
2.949	100
2.883	20
2.626	28
2.579	18
1.878	20
1.804	22

Q: Which formula does entry 2 have?
A: Hf2ZrCu4As4

Q: Which formula does entry 5 have?
A: InSi5Os3